# Tl5Au4
Theoretical XRD peak list, a wavelength of 1.5418 Å. Input: DFT lattice parameters and positions (GGA-PBE).

Principal peaks in the range 5 to 70 degrees two-theta, in order of falling intensity:
(hkl), d/Å, Position (°2θ), intensity
1 1 2, 2.711, 33.04, 100
3 0 0, 2.537, 35.38, 65
2 1 1, 2.655, 33.76, 44
2 2 2, 1.853, 49.18, 24
3 0 4, 1.425, 65.49, 22
4 1 2, 1.496, 62.03, 16
3 1 1, 2.018, 44.91, 14
2 1 3, 1.795, 50.87, 14
0 0 4, 1.723, 53.17, 11
4 2 1, 1.408, 66.39, 9

Atomic structure:
a b c (Å): 8.7892 8.7892 6.8911
angles (deg): 90.00 90.00 120.00
Positions (direct):
Tl 0.0000 0.2764 0.2500
Tl 0.0000 0.7236 0.7500
Tl 0.2764 0.0000 0.2500
Tl 0.2764 0.2764 0.7500
Tl 0.3333 0.6667 0.0000
Tl 0.3333 0.6667 0.5000
Tl 0.6667 0.3333 0.0000
Tl 0.6667 0.3333 0.5000
Tl 0.7236 0.0000 0.7500
Tl 0.7236 0.7236 0.2500
Au 0.0000 0.0000 0.0000
Au 0.0000 0.0000 0.5000
Au 0.0000 0.3869 0.7500
Au 0.0000 0.6131 0.2500
Au 0.3869 0.0000 0.7500
Au 0.3869 0.3869 0.2500
Au 0.6131 0.0000 0.2500
Au 0.6131 0.6131 0.7500